Record 1
Ba2Pd5Pb: calculated X-ray diffraction stick pattern (a wavelength of 1.5418 Å), based on a structure optimized by DFT (GGA-PBE).
Peak positions follow from Bragg's law for the DFT cell and can differ from measured ones.

Peak list (10 most intense, 5° ≤ 2θ ≤ 70°, low angle first)
2θ 18.22, d = 4.870 Å, I 35; 2θ 26.74, d = 3.334 Å, I 100; 2θ 31.40, d = 2.849 Å, I 50; 2θ 33.65, d = 2.664 Å, I 46; 2θ 35.02, d = 2.562 Å, I 51; 2θ 36.92, d = 2.435 Å, I 59; 2θ 39.40, d = 2.287 Å, I 95; 2θ 39.59, d = 2.277 Å, I 39; 2θ 40.70, d = 2.217 Å, I 35; 2θ 55.09, d = 1.667 Å, I 57

Cell and atoms:
```
data_Ba2Pd5Pb
_cell_length_a 6.7174
_cell_length_b 6.7174
_cell_length_c 7.0247
_cell_angle_alpha 121.51
_cell_angle_beta 121.51
_cell_angle_gamma 53.31
_symmetry_space_group_name_H-M 'P 1'
_symmetry_Int_Tables_number 1
loop_
_symmetry_equiv_pos_as_xyz
'x,y,z'
loop_
_atom_site_label
_atom_site_fract_x
_atom_site_fract_y
_atom_site_fract_z
Ba1 0.0000 0.0000 0.0000
Ba2 0.5306 0.5306 0.5309
Pd1 0.5337 0.9932 0.4589
Pd2 0.5335 0.9948 0.0683
Pd3 0.9627 0.9627 0.4628
Pd4 0.9932 0.5337 0.4589
Pd5 0.9948 0.5335 0.0683
Pb1 0.2498 0.2498 0.7494
```

***

Record 2
BaPd6Pb12: calculated X-ray diffraction stick pattern (a wavelength of 1.5418 Å), based on a structure optimized by DFT (GGA-PBE).
Peak positions follow from Bragg's law for the DFT cell and can differ from measured ones.

Peak list (10 most intense, 5° ≤ 2θ ≤ 70°, low angle first)
2θ 29.09, d = 3.070 Å, I 100; 2θ 30.33, d = 2.947 Å, I 50; 2θ 33.18, d = 2.700 Å, I 20; 2θ 34.79, d = 2.579 Å, I 37; 2θ 35.84, d = 2.505 Å, I 80; 2θ 39.79, d = 2.265 Å, I 24; 2θ 42.96, d = 2.105 Å, I 43; 2θ 54.62, d = 1.680 Å, I 29; 2θ 56.06, d = 1.640 Å, I 24; 2θ 62.03, d = 1.496 Å, I 18

Cell and atoms:
```
data_BaPd6Pb12
_cell_length_a 8.4297
_cell_length_b 8.4297
_cell_length_c 8.4297
_cell_angle_alpha 105.85
_cell_angle_beta 105.85
_cell_angle_gamma 105.85
_symmetry_space_group_name_H-M 'P 1'
_symmetry_Int_Tables_number 1
loop_
_symmetry_equiv_pos_as_xyz
'x,y,z'
loop_
_atom_site_label
_atom_site_fract_x
_atom_site_fract_y
_atom_site_fract_z
Ba1 0.0000 0.0000 0.0000
Pd1 0.2689 0.2689 0.7129
Pd2 0.2689 0.7129 0.2689
Pd3 0.2871 0.7311 0.7311
Pd4 0.7129 0.2689 0.2689
Pd5 0.7311 0.2871 0.7311
Pd6 0.7311 0.7311 0.2871
Pb1 0.1217 0.5000 0.8783
Pb2 0.1217 0.8783 0.5000
Pb3 0.1596 0.4223 0.4223
Pb4 0.4223 0.1596 0.4223
Pb5 0.4223 0.4223 0.1596
Pb6 0.5000 0.1217 0.8783
Pb7 0.5000 0.8783 0.1217
Pb8 0.5777 0.5777 0.8404
Pb9 0.5777 0.8404 0.5777
Pb10 0.8404 0.5777 0.5777
Pb11 0.8783 0.1217 0.5000
Pb12 0.8783 0.5000 0.1217
```

***

Record 3
Ba8Pd2Pb: calculated X-ray diffraction stick pattern (a wavelength of 1.5418 Å), based on a structure optimized by DFT (GGA-PBE).
Peak positions follow from Bragg's law for the DFT cell and can differ from measured ones.

Peak list (10 most intense, 5° ≤ 2θ ≤ 70°, low angle first)
2θ 23.26, d = 3.824 Å, I 25; 2θ 24.91, d = 3.574 Å, I 53; 2θ 27.37, d = 3.259 Å, I 61; 2θ 27.72, d = 3.218 Å, I 76; 2θ 29.24, d = 3.054 Å, I 100; 2θ 31.40, d = 2.849 Å, I 54; 2θ 33.29, d = 2.691 Å, I 29; 2θ 44.64, d = 2.030 Å, I 26; 2θ 47.26, d = 1.923 Å, I 26; 2θ 54.86, d = 1.674 Å, I 24

Cell and atoms:
```
data_Ba8Pd2Pb
_cell_length_a 9.2503
_cell_length_b 9.2503
_cell_length_c 6.2532
_cell_angle_alpha 97.31
_cell_angle_beta 97.31
_cell_angle_gamma 109.97
_symmetry_space_group_name_H-M 'P 1'
_symmetry_Int_Tables_number 1
loop_
_symmetry_equiv_pos_as_xyz
'x,y,z'
loop_
_atom_site_label
_atom_site_fract_x
_atom_site_fract_y
_atom_site_fract_z
Ba1 0.0000 0.0000 0.0000
Ba2 0.0510 0.3168 0.6213
Ba3 0.1266 0.6215 0.2087
Ba4 0.3168 0.0510 0.6213
Ba5 0.4309 0.6972 0.7961
Ba6 0.6215 0.1266 0.2087
Ba7 0.6972 0.4309 0.7961
Ba8 0.7460 0.7460 0.4153
Pd1 0.0595 0.6878 0.7083
Pd2 0.6878 0.0595 0.7083
Pb1 0.3729 0.3729 0.2075
```

***

Record 4
Ba3Pd2Pb3: calculated X-ray diffraction stick pattern (a wavelength of 1.5418 Å), based on a structure optimized by DFT (GGA-PBE).
Peak positions follow from Bragg's law for the DFT cell and can differ from measured ones.

Peak list (10 most intense, 5° ≤ 2θ ≤ 70°, low angle first)
2θ 27.95, d = 3.192 Å, I 84; 2θ 29.69, d = 3.009 Å, I 57; 2θ 30.77, d = 2.906 Å, I 44; 2θ 31.36, d = 2.852 Å, I 66; 2θ 31.92, d = 2.804 Å, I 100; 2θ 33.53, d = 2.672 Å, I 74; 2θ 36.28, d = 2.476 Å, I 64; 2θ 40.05, d = 2.251 Å, I 43; 2θ 41.04, d = 2.199 Å, I 49; 2θ 55.29, d = 1.662 Å, I 42

Cell and atoms:
```
data_Ba3Pd2Pb3
_cell_length_a 9.3758
_cell_length_b 17.4358
_cell_length_c 6.3548
_cell_angle_alpha 90.00
_cell_angle_beta 90.00
_cell_angle_gamma 90.00
_symmetry_space_group_name_H-M 'P 1'
_symmetry_Int_Tables_number 1
loop_
_symmetry_equiv_pos_as_xyz
'x,y,z'
loop_
_atom_site_label
_atom_site_fract_x
_atom_site_fract_y
_atom_site_fract_z
Ba1 0.0367 0.1107 0.1070
Ba2 0.0367 0.3893 0.1070
Ba3 0.1841 0.2500 0.5988
Ba4 0.3159 0.7500 0.0988
Ba5 0.4633 0.6107 0.6070
Ba6 0.4633 0.8893 0.6070
Ba7 0.5367 0.1107 0.3930
Ba8 0.5367 0.3893 0.3930
Ba9 0.6841 0.2500 0.9012
Ba10 0.8159 0.7500 0.4012
Ba11 0.9633 0.6107 0.8930
Ba12 0.9633 0.8893 0.8930
Pd1 0.0991 0.6055 0.3817
Pd2 0.0991 0.8945 0.3817
Pd3 0.4009 0.1055 0.8817
Pd4 0.4009 0.3945 0.8817
Pd5 0.5991 0.6055 0.1183
Pd6 0.5991 0.8945 0.1183
Pd7 0.9009 0.1055 0.6183
Pd8 0.9009 0.3945 0.6183
Pb1 0.1652 0.7500 0.5867
Pb2 0.1809 0.0365 0.6067
Pb3 0.1809 0.4635 0.6067
Pb4 0.3191 0.5365 0.1067
Pb5 0.3191 0.9635 0.1067
Pb6 0.3348 0.2500 0.0867
Pb7 0.6652 0.7500 0.9133
Pb8 0.6809 0.0365 0.8933
Pb9 0.6809 0.4635 0.8933
Pb10 0.8191 0.5365 0.3933
Pb11 0.8191 0.9635 0.3933
Pb12 0.8348 0.2500 0.4133
```

***

Record 5
Ba2Pd4Pb5: calculated X-ray diffraction stick pattern (a wavelength of 1.5418 Å), based on a structure optimized by DFT (GGA-PBE).
Peak positions follow from Bragg's law for the DFT cell and can differ from measured ones.

Peak list (10 most intense, 5° ≤ 2θ ≤ 70°, low angle first)
2θ 29.93, d = 2.986 Å, I 84; 2θ 30.51, d = 2.930 Å, I 51; 2θ 33.31, d = 2.690 Å, I 100; 2θ 33.44, d = 2.680 Å, I 45; 2θ 36.92, d = 2.434 Å, I 66; 2θ 37.73, d = 2.384 Å, I 57; 2θ 38.53, d = 2.336 Å, I 40; 2θ 54.88, d = 1.673 Å, I 25; 2θ 57.26, d = 1.609 Å, I 26; 2θ 65.28, d = 1.429 Å, I 32

Cell and atoms:
```
data_Ba2Pd4Pb5
_cell_length_a 7.4513
_cell_length_b 7.4513
_cell_length_c 9.4305
_cell_angle_alpha 129.19
_cell_angle_beta 129.19
_cell_angle_gamma 51.84
_symmetry_space_group_name_H-M 'P 1'
_symmetry_Int_Tables_number 1
loop_
_symmetry_equiv_pos_as_xyz
'x,y,z'
loop_
_atom_site_label
_atom_site_fract_x
_atom_site_fract_y
_atom_site_fract_z
Ba1 0.2159 0.2159 0.2150
Ba2 0.7841 0.7841 0.7850
Pd1 0.2491 0.2491 0.9042
Pd2 0.2504 0.2504 0.5933
Pd3 0.7496 0.7496 0.4067
Pd4 0.7509 0.7509 0.0958
Pb1 0.2457 0.7530 0.6852
Pb2 0.2470 0.7543 0.3148
Pb3 0.5000 0.5000 0.0000
Pb4 0.7530 0.2457 0.6852
Pb5 0.7543 0.2470 0.3148
```

***

Record 6
BaPd6Pb6: calculated X-ray diffraction stick pattern (a wavelength of 1.5418 Å), based on a structure optimized by DFT (GGA-PBE).
Peak positions follow from Bragg's law for the DFT cell and can differ from measured ones.

Peak list (10 most intense, 5° ≤ 2θ ≤ 70°, low angle first)
2θ 30.08, d = 2.971 Å, I 100; 2θ 34.87, d = 2.573 Å, I 33; 2θ 35.59, d = 2.523 Å, I 99; 2θ 36.47, d = 2.464 Å, I 29; 2θ 37.67, d = 2.388 Å, I 25; 2θ 39.80, d = 2.265 Å, I 88; 2θ 41.70, d = 2.166 Å, I 39; 2θ 57.09, d = 1.613 Å, I 17; 2θ 62.48, d = 1.486 Å, I 26; 2θ 66.66, d = 1.403 Å, I 40

Cell and atoms:
```
data_BaPd6Pb6
_cell_length_a 7.6263
_cell_length_b 7.6263
_cell_length_c 7.6263
_cell_angle_alpha 134.22
_cell_angle_beta 102.46
_cell_angle_gamma 94.98
_symmetry_space_group_name_H-M 'P 1'
_symmetry_Int_Tables_number 1
loop_
_symmetry_equiv_pos_as_xyz
'x,y,z'
loop_
_atom_site_label
_atom_site_fract_x
_atom_site_fract_y
_atom_site_fract_z
Ba1 0.0000 0.0000 0.0000
Pd1 0.0000 0.0000 0.5000
Pd2 0.0000 0.5000 0.0000
Pd3 0.2401 0.5000 0.7401
Pd4 0.5000 0.0000 0.0000
Pd5 0.5000 0.5000 0.5000
Pd6 0.7599 0.5000 0.2599
Pb1 0.1793 0.6793 0.5000
Pb2 0.3419 0.0000 0.3419
Pb3 0.3434 0.3434 0.0000
Pb4 0.6566 0.6566 0.0000
Pb5 0.6581 0.0000 0.6581
Pb6 0.8207 0.3207 0.5000
```

***

Record 7
BaTlPd2Pb2: calculated X-ray diffraction stick pattern (a wavelength of 1.5418 Å), based on a structure optimized by DFT (GGA-PBE).
Peak positions follow from Bragg's law for the DFT cell and can differ from measured ones.

Peak list (10 most intense, 5° ≤ 2θ ≤ 70°, low angle first)
2θ 13.20, d = 6.706 Å, I 33; 2θ 24.37, d = 3.652 Å, I 48; 2θ 31.82, d = 2.812 Å, I 100; 2θ 34.74, d = 2.582 Å, I 67; 2θ 36.38, d = 2.470 Å, I 11; 2θ 37.31, d = 2.410 Å, I 11; 2θ 47.82, d = 1.902 Å, I 66; 2θ 49.95, d = 1.826 Å, I 24; 2θ 60.45, d = 1.531 Å, I 16; 2θ 66.50, d = 1.406 Å, I 20

Cell and atoms:
```
data_BaTlPd2Pb2
_cell_length_a 5.1647
_cell_length_b 5.1647
_cell_length_c 6.7056
_cell_angle_alpha 90.00
_cell_angle_beta 90.00
_cell_angle_gamma 90.00
_symmetry_space_group_name_H-M 'P 1'
_symmetry_Int_Tables_number 1
loop_
_symmetry_equiv_pos_as_xyz
'x,y,z'
loop_
_atom_site_label
_atom_site_fract_x
_atom_site_fract_y
_atom_site_fract_z
Ba1 0.0000 0.0000 0.0000
Tl1 0.0000 0.0000 0.5000
Pd1 0.0000 0.5000 0.5000
Pd2 0.5000 0.0000 0.5000
Pb1 0.5000 0.5000 0.2561
Pb2 0.5000 0.5000 0.7439
```

***

Record 8
Ba3Zn2Pd4Pb2: calculated X-ray diffraction stick pattern (a wavelength of 1.5418 Å), based on a structure optimized by DFT (GGA-PBE).
Peak positions follow from Bragg's law for the DFT cell and can differ from measured ones.

Peak list (10 most intense, 5° ≤ 2θ ≤ 70°, low angle first)
2θ 5.37, d = 16.455 Å, I 55; 2θ 22.66, d = 3.924 Å, I 28; 2θ 24.55, d = 3.626 Å, I 24; 2θ 27.42, d = 3.253 Å, I 50; 2θ 31.03, d = 2.882 Å, I 97; 2θ 38.29, d = 2.351 Å, I 20; 2θ 38.60, d = 2.333 Å, I 100; 2θ 50.32, d = 1.813 Å, I 25; 2θ 55.50, d = 1.656 Å, I 41; 2θ 65.16, d = 1.432 Å, I 23

Cell and atoms:
```
data_Ba3Zn2Pd4Pb2
_cell_length_a 4.6652
_cell_length_b 4.6652
_cell_length_c 16.4546
_cell_angle_alpha 90.00
_cell_angle_beta 90.00
_cell_angle_gamma 120.00
_symmetry_space_group_name_H-M 'P 1'
_symmetry_Int_Tables_number 1
loop_
_symmetry_equiv_pos_as_xyz
'x,y,z'
loop_
_atom_site_label
_atom_site_fract_x
_atom_site_fract_y
_atom_site_fract_z
Ba1 0.0000 0.0000 0.0000
Ba2 0.0000 0.0000 0.2686
Ba3 0.0000 0.0000 0.7314
Zn1 0.3333 0.6667 0.1344
Zn2 0.6667 0.3333 0.8656
Pd1 0.3333 0.6667 0.3937
Pd2 0.3333 0.6667 0.8668
Pd3 0.6667 0.3333 0.1332
Pd4 0.6667 0.3333 0.6063
Pb1 0.3333 0.6667 0.5668
Pb2 0.6667 0.3333 0.4332
```

***

Record 9
BaPt2Pb: calculated X-ray diffraction stick pattern (a wavelength of 1.5418 Å), based on a structure optimized by DFT (GGA-PBE).
Peak positions follow from Bragg's law for the DFT cell and can differ from measured ones.

Peak list (10 most intense, 5° ≤ 2θ ≤ 70°, low angle first)
2θ 19.04, d = 4.661 Å, I 56; 2θ 27.76, d = 3.213 Å, I 44; 2θ 28.92, d = 3.087 Å, I 47; 2θ 29.63, d = 3.015 Å, I 80; 2θ 34.05, d = 2.633 Å, I 21; 2θ 37.56, d = 2.394 Å, I 22; 2θ 39.81, d = 2.264 Å, I 100; 2θ 40.68, d = 2.218 Å, I 37; 2θ 48.80, d = 1.866 Å, I 19; 2θ 50.68, d = 1.801 Å, I 20

Cell and atoms:
```
data_BaPt2Pb
_cell_length_a 4.8563
_cell_length_b 4.4361
_cell_length_c 5.4895
_cell_angle_alpha 90.00
_cell_angle_beta 106.30
_cell_angle_gamma 90.00
_symmetry_space_group_name_H-M 'P 1'
_symmetry_Int_Tables_number 1
loop_
_symmetry_equiv_pos_as_xyz
'x,y,z'
loop_
_atom_site_label
_atom_site_fract_x
_atom_site_fract_y
_atom_site_fract_z
Ba1 0.0000 0.0000 0.0000
Pt1 0.5716 0.5000 0.1398
Pt2 0.5952 0.0000 0.4230
Pb1 0.3677 0.5000 0.6132
```

***

Record 10
Ba2Pt3Pb5: calculated X-ray diffraction stick pattern (a wavelength of 1.5418 Å), based on a structure optimized by DFT (GGA-PBE).
Peak positions follow from Bragg's law for the DFT cell and can differ from measured ones.

Peak list (10 most intense, 5° ≤ 2θ ≤ 70°, low angle first)
2θ 30.76, d = 2.907 Å, I 100; 2θ 33.23, d = 2.696 Å, I 15; 2θ 33.66, d = 2.662 Å, I 17; 2θ 36.49, d = 2.462 Å, I 13; 2θ 37.18, d = 2.418 Å, I 35; 2θ 39.22, d = 2.297 Å, I 19; 2θ 40.25, d = 2.241 Å, I 13; 2θ 40.94, d = 2.204 Å, I 28; 2θ 57.84, d = 1.594 Å, I 28; 2θ 63.09, d = 1.474 Å, I 17

Cell and atoms:
```
data_Ba2Pt3Pb5
_cell_length_a 14.5524
_cell_length_b 14.5524
_cell_length_c 7.8649
_cell_angle_alpha 90.00
_cell_angle_beta 90.00
_cell_angle_gamma 160.87
_symmetry_space_group_name_H-M 'P 1'
_symmetry_Int_Tables_number 1
loop_
_symmetry_equiv_pos_as_xyz
'x,y,z'
loop_
_atom_site_label
_atom_site_fract_x
_atom_site_fract_y
_atom_site_fract_z
Ba1 0.0237 0.9763 0.5000
Ba2 0.3253 0.6747 0.5344
Ba3 0.6747 0.3253 0.0344
Ba4 0.9763 0.0237 0.0000
Pt1 0.1076 0.8924 0.2376
Pt2 0.2767 0.7233 0.0424
Pt3 0.4492 0.5508 0.2967
Pt4 0.5508 0.4492 0.7967
Pt5 0.7233 0.2767 0.5424
Pt6 0.8924 0.1076 0.7376
Pb1 0.0974 0.9026 0.8713
Pb2 0.2040 0.7960 0.3359
Pb3 0.2102 0.7898 0.7456
Pb4 0.3764 0.6236 0.0087
Pb5 0.4472 0.5528 0.6693
Pb6 0.5528 0.4472 0.1693
Pb7 0.6236 0.3764 0.5087
Pb8 0.7898 0.2102 0.2456
Pb9 0.7960 0.2040 0.8359
Pb10 0.9026 0.0974 0.3713
```

***

Record 11
Ba4Pt2Pb5: calculated X-ray diffraction stick pattern (a wavelength of 1.5418 Å), based on a structure optimized by DFT (GGA-PBE).
Peak positions follow from Bragg's law for the DFT cell and can differ from measured ones.

Peak list (10 most intense, 5° ≤ 2θ ≤ 70°, low angle first)
2θ 21.93, d = 4.053 Å, I 52; 2θ 29.12, d = 3.066 Å, I 39; 2θ 29.84, d = 2.994 Å, I 77; 2θ 30.06, d = 2.973 Å, I 40; 2θ 31.24, d = 2.863 Å, I 55; 2θ 31.50, d = 2.840 Å, I 46; 2θ 33.81, d = 2.651 Å, I 100; 2θ 34.82, d = 2.577 Å, I 38; 2θ 44.71, d = 2.027 Å, I 41; 2θ 55.55, d = 1.654 Å, I 37

Cell and atoms:
```
data_Ba4Pt2Pb5
_cell_length_a 8.9118
_cell_length_b 4.0534
_cell_length_c 10.5436
_cell_angle_alpha 90.00
_cell_angle_beta 94.52
_cell_angle_gamma 90.00
_symmetry_space_group_name_H-M 'P 1'
_symmetry_Int_Tables_number 1
loop_
_symmetry_equiv_pos_as_xyz
'x,y,z'
loop_
_atom_site_label
_atom_site_fract_x
_atom_site_fract_y
_atom_site_fract_z
Ba1 0.1717 0.0000 0.3488
Ba2 0.2287 0.0000 0.9631
Ba3 0.7713 0.0000 0.0369
Ba4 0.8283 0.0000 0.6512
Pt1 0.0256 0.5000 0.1370
Pt2 0.9744 0.5000 0.8630
Pb1 0.1848 0.5000 0.6608
Pb2 0.4800 0.5000 0.1925
Pb3 0.5000 0.5000 0.5000
Pb4 0.5200 0.5000 0.8075
Pb5 0.8152 0.5000 0.3392
```

***

Record 12
Ba3Pt2Pb3: calculated X-ray diffraction stick pattern (a wavelength of 1.5418 Å), based on a structure optimized by DFT (GGA-PBE).
Peak positions follow from Bragg's law for the DFT cell and can differ from measured ones.

Peak list (10 most intense, 5° ≤ 2θ ≤ 70°, low angle first)
2θ 14.67, d = 6.040 Å, I 62; 2θ 28.35, d = 3.148 Å, I 100; 2θ 28.72, d = 3.108 Å, I 69; 2θ 32.64, d = 2.743 Å, I 76; 2θ 33.41, d = 2.682 Å, I 29; 2θ 35.42, d = 2.534 Å, I 48; 2θ 36.13, d = 2.486 Å, I 47; 2θ 36.77, d = 2.444 Å, I 68; 2θ 41.22, d = 2.190 Å, I 61; 2θ 52.51, d = 1.743 Å, I 32

Cell and atoms:
```
data_Ba3Pt2Pb3
_cell_length_a 6.5155
_cell_length_b 6.5155
_cell_length_c 17.5113
_cell_angle_alpha 90.00
_cell_angle_beta 90.00
_cell_angle_gamma 135.93
_symmetry_space_group_name_H-M 'P 1'
_symmetry_Int_Tables_number 1
loop_
_symmetry_equiv_pos_as_xyz
'x,y,z'
loop_
_atom_site_label
_atom_site_fract_x
_atom_site_fract_y
_atom_site_fract_z
Ba1 0.0579 0.9421 0.6089
Ba2 0.0579 0.9421 0.8911
Ba3 0.3440 0.6560 0.7500
Ba4 0.6560 0.3440 0.2500
Ba5 0.9421 0.0579 0.1089
Ba6 0.9421 0.0579 0.3911
Pt1 0.2329 0.7671 0.1104
Pt2 0.2329 0.7671 0.3896
Pt3 0.7671 0.2329 0.6104
Pt4 0.7671 0.2329 0.8896
Pb1 0.3412 0.6588 0.5370
Pb2 0.3412 0.6588 0.9630
Pb3 0.3577 0.6423 0.2500
Pb4 0.6423 0.3577 0.7500
Pb5 0.6588 0.3412 0.0370
Pb6 0.6588 0.3412 0.4630
```